For Mg2W2O5, a GGA+U-relaxed structure gives the calculated powder XRD pattern in this record (a wavelength of 1.5418 Å).
No peak broadening, texture or thermal motion is included.

Top 10 peaks for 2θ = 10–90°, by angle:
Position (°2θ)	I (rel.)
12.5	55
18.2	27
21.2	100
28.2	39
30.6	79
31.6	31
35.1	36
41.2	23
43.0	25
47.5	18

Structural model:
Lattice parameters (Å, degrees): 3.164 5.205 14.134 90.00 92.80 90.00
Space group P2_1 (No. 4)
Asymmetric unit:
Mg1 0.023 0.000 0.052 [2 per cell]
Mg2 0.074 0.888 0.540 [2 per cell]
W1 0.460 0.880 0.326 [2 per cell]
W2 0.463 0.011 0.825 [2 per cell]
O1 0.017 0.367 0.084 [2 per cell]
O2 0.034 0.540 0.596 [2 per cell]
O3 0.429 0.611 0.430 [2 per cell]
O4 0.469 0.306 0.911 [2 per cell]
O5 0.491 0.199 0.246 [2 per cell]